For Ba2LiCd7, a crystal structure in Alexandria, relaxed with GGA-PBE gives the simulated PXRD pattern in this record (Cu Ka).
Kinematic intensities with the Lorentz-polarization factor, no thermal factor.

Main lines, sorted by position (10° ≤ 2θ ≤ 90°):
- hkl 1 1 0, 2θ 26.54, rel. 20.3
- hkl 1 0 3, 2θ 27.82, rel. 69.9
- hkl 1 1 2, 2θ 29.92, rel. 100.0
- hkl 2 0 0, 2θ 37.88, rel. 65.2
- hkl 1 1 4, 2θ 38.48, rel. 31.1
- hkl 1 0 5, 2θ 39.42, rel. 48.2
- hkl 2 1 3, 2θ 47.64, rel. 31.2
- hkl 2 2 0, 2θ 54.65, rel. 21.8
- hkl 2 1 5, 2θ 55.81, rel. 33.9
- hkl 3 1 2, 2θ 63.56, rel. 22.1

Structural model:
Unit cell a=4.750 b=4.750 c=13.040 alpha=90.00 beta=90.00 gamma=90.00
Fractional coordinates of all 10 atoms:
Ba: 0.000 0.500 0.248
Ba: 0.500 0.000 0.752
Li: 0.000 0.000 0.500
Cd: 0.000 0.000 0.000
Cd: 0.000 0.500 0.633
Cd: 0.000 0.500 0.860
Cd: 0.500 0.000 0.140
Cd: 0.500 0.000 0.367
Cd: 0.500 0.500 0.000
Cd: 0.500 0.500 0.500